Structure and calculated X-ray diffraction stick pattern of KHg6Pd3 (DFT lattice parameters and positions (GGA-PBE); λ = 1.5418 Å (Cu Kα)).
Peak positions follow from Bragg's law for the DFT cell and can differ from measured ones.

Structure:
Cell lengths 6.2654, 6.2721, 7.9830 Å; angles 67.88, 68.22, 60.20 degrees
Sites, in units of the cell vectors:
K 0.0000 0.0000 0.0000
Hg 0.0845 0.5826 0.7540
Hg 0.3063 0.8915 0.3364
Hg 0.4802 0.3078 0.3313
Hg 0.5710 0.0916 0.7353
Hg 0.5870 0.5718 0.7350
Hg 0.9029 0.4660 0.3161
Pd 0.3411 0.3051 0.0385
Pd 0.6344 0.6644 0.0366
Pd 0.8521 0.8318 0.4623

Largest 6 diffraction maxima, sorted by position, 2θ from 10° to 90°:
two_theta, intensity
16.76, 69
24.73, 74
30.94, 62
33.21, 100
37.47, 66
37.66, 69



Structure and calculated X-ray diffraction stick pattern of Ba3Ga2Ge4O14 (DFT lattice parameters and positions (GGA-PBE); λ = 1.5418 Å (Cu Kα)).
Peak positions follow from Bragg's law for the DFT cell and can differ from measured ones.

Structure:
Cell lengths 8.7109, 8.7109, 5.0974 Å; angles 90.00, 90.00, 120.00 degrees
Sites, in units of the cell vectors:
Ba 0.0000 0.5728 0.0000
Ba 0.4272 0.4272 0.0000
Ba 0.5728 0.0000 0.0000
Ga 0.3333 0.6667 0.4963
Ga 0.6667 0.3333 0.5037
Ge 0.0000 0.0000 0.0000
Ge 0.0000 0.2447 0.5000
Ge 0.2447 0.0000 0.5000
Ge 0.7553 0.7553 0.5000
O 0.0980 0.8926 0.2300
O 0.1074 0.2054 0.2300
O 0.1643 0.4478 0.6485
O 0.2054 0.1074 0.7700
O 0.2836 0.8357 0.6485
O 0.3333 0.6667 0.1477
O 0.4478 0.1643 0.3515
O 0.5522 0.7164 0.6485
O 0.6667 0.3333 0.8523
O 0.7164 0.5522 0.3515
O 0.7946 0.9020 0.2300
O 0.8357 0.2836 0.3515
O 0.8926 0.0980 0.7700
O 0.9020 0.7946 0.7700

Largest 6 diffraction maxima, sorted by position, 2θ from 10° to 90°:
two_theta, intensity
26.93, 79
29.46, 100
31.37, 36
46.94, 21
47.87, 25
56.12, 21



Structure and calculated X-ray diffraction stick pattern of LaZn4Cu (DFT lattice parameters and positions (GGA-PBE); λ = 1.5418 Å (Cu Kα)).
Peak positions follow from Bragg's law for the DFT cell and can differ from measured ones.

Structure:
Cell lengths 7.6250, 4.0874, 7.1229 Å; angles 90.00, 90.00, 90.00 degrees
Sites, in units of the cell vectors:
La 0.2500 0.0000 0.1156
La 0.7500 0.0000 0.8844
Zn 0.0000 0.0000 0.5000
Zn 0.0618 0.5000 0.7917
Zn 0.2500 0.5000 0.4507
Zn 0.4382 0.5000 0.7917
Zn 0.5000 0.0000 0.5000
Zn 0.5618 0.5000 0.2082
Zn 0.7500 0.5000 0.5493
Zn 0.9382 0.5000 0.2082
Cu 0.2500 0.0000 0.7018
Cu 0.7500 0.0000 0.2982

Largest 6 diffraction maxima, sorted by position, 2θ from 10° to 90°:
two_theta, intensity
34.55, 100
35.44, 90
39.76, 34
41.12, 66
43.79, 29
44.32, 48



Structure and calculated X-ray diffraction stick pattern of LaPrTlBr (DFT lattice parameters and positions (GGA-PBE); λ = 1.5418 Å (Cu Kα)).
Peak positions follow from Bragg's law for the DFT cell and can differ from measured ones.

Structure:
Cell lengths 7.5385, 7.5385, 7.5385 Å; angles 35.51, 35.51, 35.51 degrees
Sites, in units of the cell vectors:
La 0.0000 0.0000 0.0000
Pr 0.4995 0.4995 0.4995
Tl 0.7508 0.7508 0.7508
Br 0.2495 0.2495 0.2495

Largest 6 diffraction maxima, sorted by position, 2θ from 10° to 90°:
two_theta, intensity
28.04, 100
39.18, 41
40.95, 36
48.87, 22
64.35, 19
66.85, 17



Structure and calculated X-ray diffraction stick pattern of TmPuAu2 (DFT lattice parameters and positions (GGA-PBE); λ = 1.5418 Å (Cu Kα)).
Peak positions follow from Bragg's law for the DFT cell and can differ from measured ones.

Structure:
Cell lengths 5.0961, 5.0961, 5.0961 Å; angles 60.00, 60.00, 60.00 degrees
Sites, in units of the cell vectors:
Tm 0.0000 0.0000 0.0000
Pu 0.5000 0.5000 0.5000
Au 0.2500 0.2500 0.2500
Au 0.7500 0.7500 0.7500

Largest 6 diffraction maxima, sorted by position, 2θ from 10° to 90°:
two_theta, intensity
21.35, 1
35.22, 100
50.67, 18
63.21, 38
74.47, 12
85.15, 17



Structure and calculated X-ray diffraction stick pattern of ScZn4 (DFT lattice parameters and positions (GGA-PBE); λ = 1.5418 Å (Cu Kα)).
Peak positions follow from Bragg's law for the DFT cell and can differ from measured ones.

Structure:
Cell lengths 7.6051, 7.6051, 7.6051 Å; angles 109.47, 109.47, 109.47 degrees
Sites, in units of the cell vectors:
Sc 0.0000 0.0000 0.4267
Sc 0.0000 0.4267 0.0000
Sc 0.4267 0.0000 0.0000
Sc 0.5733 0.5733 0.5733
Zn 0.0000 0.0000 0.7879
Zn 0.0000 0.3488 0.3488
Zn 0.0000 0.6512 0.6512
Zn 0.0000 0.7879 0.0000
Zn 0.2121 0.2121 0.2121
Zn 0.2500 0.5000 0.7500
Zn 0.2500 0.7500 0.5000
Zn 0.3488 0.0000 0.3488
Zn 0.3488 0.3488 0.0000
Zn 0.5000 0.2500 0.7500
Zn 0.5000 0.7500 0.2500
Zn 0.6512 0.0000 0.6512
Zn 0.6512 0.6512 0.0000
Zn 0.7500 0.2500 0.5000
Zn 0.7500 0.5000 0.2500
Zn 0.7879 0.0000 0.0000

Largest 6 diffraction maxima, sorted by position, 2θ from 10° to 90°:
two_theta, intensity
20.22, 35
35.41, 75
38.35, 46
43.73, 100
48.63, 22
65.53, 19



- Number 4 is which compound?
  LaPrTlBr